[1]
Simulated powder diffractogram of MgSn for a wavelength of 1.5418 Å, from a DFT-relaxed cell (PBE, the Materials Project).
No peak broadening, texture or thermal motion is included.

The 10 most intense peaks (10° ≤ 2θ ≤ 90°), in order of rising 2θ:
| Position (°2θ) | intensity |
| --- | --- |
| 16.30 | 53 |
| 23.26 | 41 |
| 23.76 | 48 |
| 27.40 | 33 |
| 31.06 | 55 |
| 33.41 | 90 |
| 34.59 | 100 |
| 35.92 | 51 |
| 36.16 | 93 |
| 38.91 | 36 |

Cell and atoms:
```
MgSn
1.0
11.5790 0.0000 0.0000
0.0000 3.4107 0.0000
-2.7366 0.0000 7.4999
Mg Sn
6 6
Cartesian
0.0000 0.0000 0.0000
-0.9121 0.0000 4.5780
1.2597 1.7054 2.5414
5.7895 1.7054 0.0000
4.8774 1.7054 4.5780
7.0492 0.0000 2.5414
-0.0828 1.7054 7.1341
2.1798 0.0000 4.9686
3.9904 0.0000 2.1143
5.7066 0.0000 7.1341
7.9692 1.7054 4.9686
9.7799 1.7054 2.1143
```

---

[2]
Simulated powder diffractogram of SrMg14Sn for a wavelength of 1.5418 Å, from a DFT-relaxed cell (PBE, the Materials Project).
No peak broadening, texture or thermal motion is included.

The 10 most intense peaks (10° ≤ 2θ ≤ 90°), in order of rising 2θ:
| Position (°2θ) | intensity |
| --- | --- |
| 15.69 | 35 |
| 22.94 | 33 |
| 31.69 | 28 |
| 33.63 | 26 |
| 36.00 | 100 |
| 46.88 | 19 |
| 56.45 | 17 |
| 61.69 | 24 |
| 67.34 | 20 |
| 68.79 | 17 |

Cell and atoms:
```
SrMg14Sn
1.0
6.5201 0.0000 0.0000
-3.2601 5.6466 0.0000
0.0000 0.0000 10.6604
Sr Mg Sn
1 14 1
Cartesian
0.0000 0.0000 0.0000
-1.5898 2.8465 0.0000
0.0000 1.9184 2.7407
0.0000 1.9184 7.9196
-1.5987 4.6874 2.7407
-1.5987 4.6874 7.9196
1.5898 2.8465 0.0000
0.0000 5.6002 0.0000
3.2601 0.0257 5.3302
1.6523 2.8104 5.3302
1.5987 4.6874 2.7407
1.5987 4.6874 7.9196
3.2601 1.8822 2.5915
3.2601 1.8822 8.0689
4.8678 2.8104 5.3302
0.0000 0.0000 5.3302
```